Entry 1:
Starting from a DFT-relaxed cell (GGA-PBE, the Materials Project), the powder XRD pattern of YMg6Bi was computed for Cu Kα (λ = 1.5418 Å).
Peak positions follow from Bragg's law for the DFT cell and can differ from measured ones.

Structure:
Cell: 5.1565 6.8292 11.4582 Å, 90.00 90.00 90.00°
Space group Amm2 (No. 38)
Symmetry-distinct sites (fractional):
1 Y 0.0000 0.0000 0.0000 x2
2 Mg 0.0000 0.0000 0.5041 x2
3 Mg 0.0000 0.2377 0.2476 x4
4 Mg 0.5000 0.0000 0.3367 x2
5 Mg 0.5000 0.2372 0.5877 x4
6 Bi 0.5000 0.0000 0.8329 x2

Main lines, in order of rising 2θ (10° ≤ 2θ ≤ 90°):
| 2theta | I (rel.) | h k l |
| --- | --- | --- |
| 15.10 | 100 | 0 1 1 |
| 22.96 | 44 | 1 1 1 |
| 23.21 | 40 | 1 0 2 |
| 30.48 | 26 | 0 2 2 |
| 31.97 | 44 | 1 1 3 |
| 34.80 | 30 | 2 0 0 |
| 35.20 | 88 | 1 2 2 |
| 35.86 | 43 | 1 0 4 |

Entry 2:
Starting from a DFT-relaxed cell (GGA-PBE, the Materials Project), the powder XRD pattern of H was computed for Cu Kα (λ = 1.5418 Å).
Peak positions follow from Bragg's law for the DFT cell and can differ from measured ones.

Structure:
Cell: 2.6130 2.6130 0.9858 Å, 90.00 90.00 90.00°
Space group P4/mmm (No. 123)
Symmetry-distinct sites (fractional):
1 H 0.0000 0.0000 0.0000 x1

Main lines, in order of rising 2θ (10° ≤ 2θ ≤ 90°):
| 2theta | I (rel.) | h k l |
| --- | --- | --- |
| 34.32 | 100 | 1 0 0 |
| 49.32 | 16 | 1 1 0 |
| 72.32 | 2 | 2 0 0 |
| 82.56 | 1 | 2 1 0 |

Entry 3:
Starting from a DFT-relaxed cell (GGA-PBE, the Materials Project), the powder XRD pattern of KSrCeBiO6 was computed for Cu Kα (λ = 1.5418 Å).
Peak positions follow from Bragg's law for the DFT cell and can differ from measured ones.

Structure:
Cell: 8.6209 8.6411 8.6418 Å, 90.00 90.00 90.00°
Space group Pnnn (No. 48, origin choice 2)
Symmetry-distinct sites (fractional):
1 K 0.2500 0.2500 0.2500 x2
2 K 0.2500 0.7500 0.7500 x2
3 Sr 0.2500 0.2500 0.7500 x2
4 Sr 0.2500 0.7500 0.2500 x2
5 Ce 0.0000 0.0000 0.0000 x4
6 Bi 0.0000 0.0000 0.5000 x4
7 O 0.0251 0.0426 0.7434 x8
8 O 0.0301 0.7455 0.9850 x8
9 O 0.2452 0.0230 0.4722 x8

Main lines, in order of rising 2θ (10° ≤ 2θ ≤ 90°):
| 2theta | I (rel.) | h k l |
| --- | --- | --- |
| 20.57 | 36 | 0 0 2 |
| 29.25 | 100 | 0 2 2 |
| 41.81 | 20 | 0 0 4 |
| 47.07 | 17 | 0 4 2 |
| 51.88 | 44 | 2 4 2 |
| 60.67 | 18 | 4 0 4 |
| 68.71 | 12 | 0 6 2 |
| 83.81 | 15 | 4 6 2 |

Entry 4:
Starting from a DFT-relaxed cell (GGA-PBE, the Materials Project), the powder XRD pattern of Sr2LiSiO4 was computed for Cu Kα (λ = 1.5418 Å).
Peak positions follow from Bragg's law for the DFT cell and can differ from measured ones.

Structure:
Cell: 5.9822 5.9822 13.5973 Å, 90.00 90.00 120.00°
Space group P3_121 (No. 152)
Symmetry-distinct sites (fractional):
1 Sr 0.1822 0.5226 0.4323 x6
2 Li 0.0000 0.7400 0.6667 x3
3 Si 0.0000 0.1995 0.1667 x3
4 O 0.0346 0.3847 0.2635 x6
5 O 0.0797 0.8187 0.5245 x6

Main lines, in order of rising 2θ (10° ≤ 2θ ≤ 90°):
| 2theta | I (rel.) | h k l |
| --- | --- | --- |
| 19.59 | 33 | 0 0 3 |
| 21.57 | 56 | 0 1 2 |
| 26.12 | 100 | 1 0 3 |
| 30.60 | 98 | 1 1 1 |
| 32.71 | 34 | 1 1 2 |
| 35.27 | 45 | 2 0 1 |
| 48.37 | 30 | 1 2 2 |
| 48.54 | 35 | 0 2 5 |

Entry 5:
Starting from a DFT-relaxed cell (GGA-PBE, the Materials Project), the powder XRD pattern of K2Na3TlO4 was computed for Cu Kα (λ = 1.5418 Å).
Peak positions follow from Bragg's law for the DFT cell and can differ from measured ones.

Structure:
Cell: 9.3862 9.7450 7.7877 Å, 90.00 90.00 90.00°
Space group Pnnm (No. 58)
Symmetry-distinct sites (fractional):
1 K 0.0000 0.0000 0.2468 x4
2 K 0.2360 0.2502 0.5000 x4
3 Na 0.0167 0.6508 0.2496 x8
4 Na 0.2402 0.5849 0.5000 x4
5 Tl 0.2273 0.3789 0.0000 x4
6 O 0.0483 0.2223 0.0000 x4
7 O 0.0611 0.7764 0.5000 x4
8 O 0.1984 0.4842 0.2451 x8

Main lines, in order of rising 2θ (10° ≤ 2θ ≤ 90°):
| 2theta | I (rel.) | h k l |
| --- | --- | --- |
| 14.56 | 79 | 0 1 1 |
| 17.37 | 99 | 1 1 1 |
| 20.54 | 76 | 1 2 0 |
| 23.95 | 48 | 2 1 1 |
| 29.81 | 100 | 2 0 2 |
| 30.90 | 54 | 1 2 2 |
| 31.32 | 77 | 1 3 1 |
| 41.74 | 50 | 3 3 1 |

Entry 6:
Starting from a DFT-relaxed cell (GGA-PBE, the Materials Project), the powder XRD pattern of Mg6AlV was computed for Cu Kα (λ = 1.5418 Å).
Peak positions follow from Bragg's law for the DFT cell and can differ from measured ones.

Structure:
Cell: 4.9456 6.1993 10.7264 Å, 90.00 90.00 90.00°
Space group Amm2 (No. 38)
Symmetry-distinct sites (fractional):
1 Mg 0.0000 0.0000 0.0000 x2
2 Mg 0.0000 0.2422 0.2527 x4
3 Mg 0.5000 0.0000 0.8328 x2
4 Mg 0.5000 0.2450 0.5830 x4
5 Al 0.0000 0.0000 0.4898 x2
6 V 0.5000 0.0000 0.3400 x2

Main lines, in order of rising 2θ (10° ≤ 2θ ≤ 90°):
| 2theta | I (rel.) | h k l |
| --- | --- | --- |
| 33.40 | 25 | 0 2 2 |
| 36.33 | 26 | 2 0 0 |
| 38.16 | 100 | 1 0 4 |
| 50.17 | 15 | 2 2 2 |
| 59.69 | 16 | 0 4 0 |
| 66.58 | 18 | 3 0 4 |
| 71.93 | 18 | 2 4 0 |
| 73.09 | 13 | 1 4 4 |

Entry 7:
Starting from a DFT-relaxed cell (GGA-PBE, the Materials Project), the powder XRD pattern of Ba2Y2Zn8O13 was computed for Cu Kα (λ = 1.5418 Å).
Peak positions follow from Bragg's law for the DFT cell and can differ from measured ones.

Structure:
Cell: 11.1766 6.4736 10.3844 Å, 90.00 90.34 90.00°
Space group Cm (No. 8)
Symmetry-distinct sites (fractional):
1 Ba 0.0000 0.0000 0.0000 x2
2 Ba 0.2122 0.5000 0.4923 x2
3 Y 0.0143 0.0000 0.3675 x2
4 Y 0.1979 0.5000 0.8569 x2
5 Zn 0.0053 0.5000 0.2176 x2
6 Zn 0.1663 0.0000 0.6871 x2
7 Zn 0.2560 0.2584 0.1824 x4
8 Zn 0.3135 0.0000 0.9237 x2
9 Zn 0.3452 0.0000 0.4410 x2
10 Zn 0.4361 0.2484 0.6797 x4
11 O 0.0795 0.2366 0.2094 x4
12 O 0.0873 0.2408 0.7778 x4
13 O 0.1766 0.0000 0.4981 x2
14 O 0.2895 0.2673 0.9936 x4
15 O 0.3262 0.5000 0.2682 x2
16 O 0.3343 0.0000 0.2442 x2
17 O 0.3369 0.5000 0.7204 x2
18 O 0.3431 0.0000 0.7402 x2
19 O 0.4331 0.2513 0.4903 x4

Main lines, in order of rising 2θ (10° ≤ 2θ ≤ 90°):
| 2theta | I (rel.) | h k l |
| --- | --- | --- |
| 27.60 | 49 | 3 1 0 |
| 30.30 | 49 | 2 0 -3 |
| 30.42 | 55 | 2 0 3 |
| 32.59 | 78 | 0 2 2 |
| 32.74 | 37 | 3 1 2 |
| 33.13 | 100 | 2 2 -1 |
| 50.49 | 28 | 1 3 3 |
| 57.05 | 25 | 6 2 0 |

Entry 8:
Starting from a DFT-relaxed cell (GGA-PBE, the Materials Project), the powder XRD pattern of LiAlSiO4 was computed for Cu Kα (λ = 1.5418 Å).
Peak positions follow from Bragg's law for the DFT cell and can differ from measured ones.

Structure:
Cell: 5.2918 5.2918 11.4500 Å, 90.00 90.00 120.00°
Space group P6_422 (No. 181)
Symmetry-distinct sites (fractional):
1 Li 0.0000 0.0000 0.0000 x3
2 Al 0.0000 0.5000 0.8333 x3
3 Si 0.0000 0.5000 0.3333 x3
4 O 0.1939 0.3996 0.2555 x12

Main lines, in order of rising 2θ (10° ≤ 2θ ≤ 90°):
| 2theta | I (rel.) | h k l |
| --- | --- | --- |
| 19.37 | 8 | 1 0 0 |
| 24.89 | 100 | 1 0 2 |
| 46.75 | 22 | 1 1 4 |
| 55.42 | 10 | 2 1 2 |
| 63.43 | 11 | 2 0 6 |
| 71.29 | 4 | 2 2 0 |
| 75.52 | 4 | 1 1 8 |
| 76.82 | 6 | 3 1 2 |

Entry 9:
Starting from a DFT-relaxed cell (GGA-PBE, the Materials Project), the powder XRD pattern of Ba4Ti5PbO15 was computed for Cu Kα (λ = 1.5418 Å).
Peak positions follow from Bragg's law for the DFT cell and can differ from measured ones.

Structure:
Cell: 4.0222 4.0222 20.1028 Å, 90.00 90.00 90.00°
Space group P4/mmm (No. 123)
Symmetry-distinct sites (fractional):
1 Ba 0.0000 0.0000 0.1000 x2
2 Ba 0.0000 0.0000 0.3006 x2
3 Ti 0.5000 0.5000 0.0000 x1
4 Ti 0.5000 0.5000 0.2003 x2
5 Ti 0.5000 0.5000 0.4015 x2
6 Pb 0.0000 0.0000 0.5000 x1
7 O 0.0000 0.5000 0.0000 x2
8 O 0.0000 0.5000 0.2000 x4
9 O 0.0000 0.5000 0.4012 x4
10 O 0.5000 0.5000 0.1000 x2
11 O 0.5000 0.5000 0.3004 x2
12 O 0.5000 0.5000 0.5000 x1

Main lines, in order of rising 2θ (10° ≤ 2θ ≤ 90°):
| 2theta | I (rel.) | h k l |
| --- | --- | --- |
| 22.10 | 24 | 1 0 0 |
| 31.46 | 100 | 1 1 0 |
| 38.78 | 26 | 1 1 5 |
| 45.09 | 33 | 2 0 0 |
| 50.76 | 12 | 2 1 0 |
| 56.01 | 39 | 2 1 5 |
| 65.67 | 20 | 2 2 0 |
| 74.63 | 17 | 3 1 0 |